Record 1
Theoretical powder X-ray diffraction pattern of Cs2Ni3Bi2 for Cu Kα (λ = 1.5418 Å), from a cell relaxed with PBE.

Structural model:
abc: 12.794 12.794 12.794
angles: 20.22 20.22 20.22
Fractional positions:
Cs 0.000 0.000 0.000
Cs 0.493 0.493 0.493
Ni 0.405 0.405 0.405
Ni 0.584 0.584 0.584
Ni 0.906 0.906 0.906
Bi 0.245 0.245 0.245
Bi 0.745 0.745 0.745

The 8 most intense peaks (2θ = 10–90°), low angle first:
14.14 deg, d = 6.264 Å, intensity 48
24.78 deg, d = 3.593 Å, intensity 100
28.50 deg, d = 3.132 Å, intensity 55
29.82 deg, d = 2.996 Å, intensity 83
40.16 deg, d = 2.245 Å, intensity 71
42.78 deg, d = 2.114 Å, intensity 20
49.98 deg, d = 1.825 Å, intensity 70
54.21 deg, d = 1.692 Å, intensity 20

Record 2
Theoretical powder X-ray diffraction pattern of Cs2NiBi2 for Cu Kα (λ = 1.5418 Å), from a cell relaxed with PBE.

Structural model:
abc: 8.564 8.564 6.760
angles: 90.00 90.00 125.34
Fractional positions:
Cs 0.112 0.888 0.750
Cs 0.304 0.696 0.250
Cs 0.696 0.304 0.750
Cs 0.888 0.112 0.250
Ni 0.500 0.500 0.000
Ni 0.500 0.500 0.500
Bi 0.219 0.399 0.750
Bi 0.399 0.219 0.250
Bi 0.601 0.781 0.750
Bi 0.781 0.601 0.250

The 8 most intense peaks (2θ = 10–90°), low angle first:
12.67 deg, d = 6.986 Å, intensity 26
24.69 deg, d = 3.605 Å, intensity 67
26.37 deg, d = 3.380 Å, intensity 49
26.89 deg, d = 3.315 Å, intensity 41
28.77 deg, d = 3.103 Å, intensity 100
44.12 deg, d = 2.052 Å, intensity 25
45.68 deg, d = 1.986 Å, intensity 27
48.05 deg, d = 1.894 Å, intensity 25

Record 3
Theoretical powder X-ray diffraction pattern of CsBi5Os3 for Cu Kα (λ = 1.5418 Å), from a cell relaxed with PBE.

Structural model:
abc: 5.900 5.900 8.848
angles: 90.00 90.00 120.00
Fractional positions:
Cs 0.000 0.000 0.000
Bi 0.000 0.000 0.500
Bi 0.333 0.667 0.248
Bi 0.333 0.667 0.752
Bi 0.667 0.333 0.248
Bi 0.667 0.333 0.752
Os 0.000 0.500 0.500
Os 0.500 0.000 0.500
Os 0.500 0.500 0.500

The 8 most intense peaks (2θ = 10–90°), low angle first:
26.65 deg, d = 3.345 Å, intensity 44
30.30 deg, d = 2.950 Å, intensity 55
36.61 deg, d = 2.455 Å, intensity 53
40.79 deg, d = 2.212 Å, intensity 100
51.64 deg, d = 1.770 Å, intensity 38
63.02 deg, d = 1.475 Å, intensity 19
69.67 deg, d = 1.350 Å, intensity 16
77.83 deg, d = 1.227 Å, intensity 34

What is the formula in the third record?
CsBi5Os3